This entry pairs a crystal structure of Sm8CuTe4Se3 with its computed powder diffraction line list. Radiation: Cu Kα (weighted mean of Kα1 and Kα2). Structure: a structure optimized by DFT (GGA-PBE).
No peak broadening, texture or thermal motion is included.

Peak list (10 most intense, 2θ from 5° to 70°, in order of rising 2θ)
2θ/deg  I/Imax
25.45  5.2
29.29  100.0
31.90  6.0
41.51  34.9
42.30  37.8
50.94  5.4
52.28  19.5
60.76  11.2
68.30  13.1
69.43  16.4

Unit cell a=8.705 b=8.705 c=8.705 alpha=58.81 beta=58.81 gamma=58.81
Fractional positions:
Sm: 0.240 0.240 0.240
Sm: 0.250 0.736 0.736
Sm: 0.264 0.264 0.750
Sm: 0.264 0.750 0.264
Sm: 0.736 0.250 0.736
Sm: 0.736 0.736 0.250
Sm: 0.750 0.264 0.264
Sm: 0.760 0.760 0.760
Cu: 0.500 0.500 0.500
Te: 0.000 0.000 0.000
Te: 0.000 0.500 0.500
Te: 0.500 0.000 0.500
Te: 0.500 0.500 0.000
Se: 0.000 0.000 0.500
Se: 0.000 0.500 0.000
Se: 0.500 0.000 0.000


This entry pairs a crystal structure of SiO2 with its computed powder diffraction line list. Radiation: Cu Kα (weighted mean of Kα1 and Kα2). Structure: a structure optimized by DFT (GGA-PBE).
No peak broadening, texture or thermal motion is included.

Peak list (10 most intense, 2θ from 5° to 70°, in order of rising 2θ)
2θ/deg  I/Imax
12.72  100.0
15.08  30.4
19.78  19.0
23.59  5.5
26.89  4.4
28.69  4.8
29.00  4.9
29.85  27.9
30.42  5.6
41.88  4.4

Unit cell a=10.359 b=10.359 c=10.359 alpha=95.62 beta=95.62 gamma=143.52
Fractional positions:
Si: 0.120 0.505 0.615
Si: 0.125 0.875 0.250
Si: 0.390 0.505 0.885
Si: 0.495 0.610 0.615
Si: 0.495 0.880 0.885
Si: 0.505 0.120 0.115
Si: 0.505 0.390 0.385
Si: 0.610 0.495 0.115
Si: 0.875 0.125 0.750
Si: 0.880 0.495 0.385
O: 0.000 0.500 0.500
O: 0.078 0.732 0.346
O: 0.114 0.268 0.846
O: 0.268 0.114 0.346
O: 0.268 0.922 0.154
O: 0.279 0.529 0.558
O: 0.279 0.721 0.750
O: 0.471 0.529 0.750
O: 0.471 0.721 0.942
O: 0.500 0.000 0.000
O: 0.500 0.500 0.000
O: 0.500 0.500 0.500
O: 0.529 0.279 0.058
O: 0.529 0.471 0.250
O: 0.721 0.279 0.250
O: 0.721 0.471 0.442
O: 0.732 0.078 0.846
O: 0.732 0.886 0.654
O: 0.886 0.732 0.154
O: 0.922 0.268 0.654


This entry pairs a crystal structure of Tb3Ho9Th2 with its computed powder diffraction line list. Radiation: Cu Kα (weighted mean of Kα1 and Kα2). Structure: a structure optimized by DFT (GGA-PBE).
No peak broadening, texture or thermal motion is included.

Peak list (10 most intense, 2θ from 5° to 70°, in order of rising 2θ)
2θ/deg  I/Imax
31.06  41.2
31.94  100.0
32.53  91.1
32.77  38.5
44.89  12.8
45.44  16.1
47.88  15.3
57.66  23.5
63.73  26.1
64.08  12.4

Unit cell a=9.859 b=9.859 c=5.601 alpha=105.47 beta=105.47 gamma=62.75
Fractional positions:
Tb: 0.000 0.000 0.000
Tb: 0.602 0.602 0.609
Tb: 0.720 0.720 0.222
Ho: 0.043 0.378 0.206
Ho: 0.079 0.735 0.405
Ho: 0.268 0.942 0.605
Ho: 0.339 0.681 0.020
Ho: 0.378 0.043 0.206
Ho: 0.393 0.393 0.458
Ho: 0.681 0.339 0.020
Ho: 0.735 0.079 0.405
Ho: 0.942 0.268 0.605
Th: 0.617 0.980 0.795
Th: 0.980 0.617 0.795


This entry pairs a crystal structure of Cd5Ag2Pt2 with its computed powder diffraction line list. Radiation: Cu Kα (weighted mean of Kα1 and Kα2). Structure: a structure optimized by DFT (GGA-PBE).
No peak broadening, texture or thermal motion is included.

Peak list (10 most intense, 2θ from 5° to 70°, in order of rising 2θ)
2θ/deg  I/Imax
30.80  10.9
37.14  37.0
37.79  58.3
38.04  100.0
49.70  11.5
54.24  21.7
67.38  10.2
67.53  12.2
68.34  8.9
68.92  11.1

Unit cell a=9.913 b=9.913 c=9.913 alpha=57.07 beta=151.73 gamma=131.52
Fractional positions:
Cd: 0.000 0.083 0.083
Cd: 0.000 0.417 0.417
Cd: 0.000 0.583 0.583
Cd: 0.000 0.917 0.917
Cd: 0.328 0.581 0.247
Cd: 0.334 0.081 0.753
Cd: 0.664 0.327 0.662
Cd: 0.664 0.502 0.837
Cd: 0.665 0.002 0.338
Cd: 0.665 0.827 0.163
Ag: 0.669 0.169 0.500
Ag: 0.669 0.669 0.000
Ag: 0.991 0.743 0.747
Ag: 0.996 0.243 0.253
Pt: 0.337 0.255 0.918
Pt: 0.337 0.419 0.082
Pt: 0.337 0.755 0.418
Pt: 0.337 0.919 0.582